No. 1
The following is a theoretical powder diffractogram of CuBiO4. It was derived from a structure optimized by DFT (PBE), using Cu Kα (λ = 1.5418 Å).
Intensities are scaled so that the largest is 1000.

Most intense lines, 2θ = 5–70°, low angle first:
Position (°2θ), intensity
18.16, 836
22.83, 925
23.93, 1000
24.25, 882
30.93, 935
33.09, 838

Crystal structure
```
CuBiO4
1.0
6.4349 0.0000 0.0000
0.0000 9.6352 0.0000
-0.6060 0.0000 10.8273
Cu Bi O
8 8 32
direct
0.1312 0.0148 0.1229 Cu
0.1312 0.4852 0.6229 Cu
0.3087 0.6013 0.1204 Cu
0.3087 0.8987 0.6204 Cu
0.6913 0.1013 0.3796 Cu
0.6913 0.3987 0.8796 Cu
0.8688 0.5148 0.3771 Cu
0.8688 0.9852 0.8771 Cu
0.0194 0.6395 0.8894 Bi
0.0194 0.8605 0.3894 Bi
0.3588 0.1300 0.8909 Bi
0.3588 0.3700 0.3909 Bi
0.6412 0.6300 0.6091 Bi
0.6412 0.8700 0.1091 Bi
0.9806 0.1395 0.6106 Bi
0.9806 0.3605 0.1106 Bi
0.0227 0.5847 0.0967 O
0.0227 0.9153 0.5967 O
0.1249 0.6503 0.7087 O
0.1249 0.8497 0.2087 O
0.1453 0.5413 0.4002 O
0.1453 0.9587 0.9002 O
0.1573 0.1911 0.0490 O
0.1573 0.3089 0.5490 O
0.3028 0.0806 0.6899 O
0.3028 0.4194 0.1899 O
0.3188 0.6910 0.9738 O
0.3188 0.8090 0.4738 O
0.4102 0.0241 0.1045 O
0.4102 0.4759 0.6045 O
0.4311 0.1649 0.3314 O
0.4311 0.3351 0.8314 O
0.5689 0.6649 0.1686 O
0.5689 0.8351 0.6686 O
0.5898 0.5241 0.3955 O
0.5898 0.9759 0.8955 O
0.6812 0.1910 0.5262 O
0.6812 0.3090 0.0262 O
0.6972 0.5806 0.8101 O
0.6972 0.9194 0.3101 O
0.8427 0.6911 0.4510 O
0.8427 0.8089 0.9510 O
0.8547 0.0413 0.0998 O
0.8547 0.4587 0.5998 O
0.8751 0.1503 0.7913 O
0.8751 0.3497 0.2913 O
0.9773 0.0847 0.4033 O
0.9773 0.4153 0.9033 O
```

No. 2
The following is a theoretical powder diffractogram of CuBi2O4. It was derived from a structure optimized by DFT (PBE), using Cu Kα (λ = 1.5418 Å).
Intensities are scaled so that the largest is 1000.

Most intense lines, 2θ = 5–70°, low angle first:
Position (°2θ), intensity
27.75, 1000
33.37, 219
36.50, 186
46.59, 351
51.35, 231
55.04, 187

Crystal structure
```
CuBi2O4
1.0
8.4912 0.0000 0.0000
0.0000 8.4912 0.0000
0.0000 0.0000 6.0421
Cu Bi O
4 8 16
direct
0.2500 0.2500 0.0754 Cu
0.2500 0.2500 0.5754 Cu
0.7500 0.7500 0.4246 Cu
0.7500 0.7500 0.9246 Cu
0.0798 0.5798 0.2500 Bi
0.0798 0.9202 0.7500 Bi
0.4202 0.5798 0.7500 Bi
0.4202 0.9202 0.2500 Bi
0.5798 0.0798 0.7500 Bi
0.5798 0.4202 0.2500 Bi
0.9202 0.0798 0.2500 Bi
0.9202 0.4202 0.7500 Bi
0.0421 0.1506 0.5886 O
0.0421 0.3494 0.0886 O
0.1506 0.0421 0.0886 O
0.1506 0.4579 0.5886 O
0.3494 0.0421 0.5886 O
0.3494 0.4579 0.0886 O
0.4579 0.1506 0.0886 O
0.4579 0.3494 0.5886 O
0.5421 0.6506 0.4114 O
0.5421 0.8494 0.9114 O
0.6506 0.5421 0.9114 O
0.6506 0.9579 0.4114 O
0.8494 0.5421 0.4114 O
0.8494 0.9579 0.9114 O
0.9579 0.6506 0.9114 O
0.9579 0.8494 0.4114 O
```

No. 3
The following is a theoretical powder diffractogram of CuBiP2O8. It was derived from a structure optimized by DFT (PBE), using Cu Kα (λ = 1.5418 Å).
Intensities are scaled so that the largest is 1000.

Most intense lines, 2θ = 5–70°, low angle first:
Position (°2θ), intensity
16.52, 1000
17.23, 909
22.59, 777
22.76, 480
24.11, 772
28.39, 719

Crystal structure
```
CuBiP2O8
1.0
5.4001 0.0000 0.0000
0.0000 6.2869 0.0000
-1.1324 0.0000 10.2937
Cu Bi P O
2 2 4 16
direct
0.1570 0.2500 0.1840 Cu
0.8430 0.7500 0.8160 Cu
0.4446 0.2500 0.7131 Bi
0.5554 0.7500 0.2869 Bi
0.0550 0.7500 0.0952 P
0.3634 0.7500 0.6119 P
0.6366 0.2500 0.3881 P
0.9450 0.2500 0.9048 P
0.1048 0.7500 0.9503 O
0.2044 0.5588 0.1691 O
0.2044 0.9412 0.1691 O
0.2245 0.2500 0.8961 O
0.2363 0.5552 0.6700 O
0.2363 0.9448 0.6700 O
0.3250 0.7500 0.4624 O
0.3476 0.2500 0.3481 O
0.6524 0.7500 0.6519 O
0.6750 0.2500 0.5376 O
0.7637 0.0552 0.3300 O
0.7637 0.4448 0.3300 O
0.7755 0.7500 0.1039 O
0.7956 0.0588 0.8309 O
0.7956 0.4412 0.8309 O
0.8952 0.2500 0.0497 O
```

No. 4
The following is a theoretical powder diffractogram of Cu3Bi2P2O14. It was derived from a structure optimized by DFT (PBE), using Cu Kα (λ = 1.5418 Å).
Intensities are scaled so that the largest is 1000.

Most intense lines, 2θ = 5–70°, low angle first:
Position (°2θ), intensity
12.34, 645
13.48, 420
17.77, 543
24.27, 470
30.59, 1000
32.27, 557

Crystal structure
```
Cu3Bi2P2O14
1.0
6.5790 -3.0608 0.0000
6.5790 3.0608 0.0000
-6.1607 0.0000 7.1708
Cu Bi P O
3 2 2 14
direct
0.0000 0.0000 0.0000 Cu
0.0000 0.5000 0.0000 Cu
0.5000 0.0000 0.0000 Cu
0.3309 0.3309 0.7653 Bi
0.6691 0.6691 0.2347 Bi
0.3001 0.3001 0.3422 P
0.6999 0.6999 0.6578 P
0.1091 0.5349 0.2739 O
0.1329 0.1329 0.9365 O
0.1502 0.1502 0.2639 O
0.2967 0.7033 0.0000 O
0.3411 0.3411 0.0150 O
0.3868 0.3868 0.5523 O
0.4651 0.8909 0.7261 O
0.5349 0.1091 0.2739 O
0.6132 0.6132 0.4477 O
0.6589 0.6589 0.9850 O
0.7033 0.2967 0.0000 O
0.8498 0.8498 0.7361 O
0.8671 0.8671 0.0635 O
0.8909 0.4651 0.7261 O
```

No. 5
The following is a theoretical powder diffractogram of Cu2BiPO6. It was derived from a structure optimized by DFT (PBE), using Cu Kα (λ = 1.5418 Å).
Intensities are scaled so that the largest is 1000.

Most intense lines, 2θ = 5–70°, low angle first:
Position (°2θ), intensity
13.43, 391
21.83, 384
30.39, 985
32.19, 1000
34.67, 308
50.05, 349

Crystal structure
```
Cu2BiPO6
1.0
7.8853 0.0000 0.0000
0.0000 5.1740 0.0000
-0.0100 0.0000 12.0318
Cu Bi P O
8 4 4 24
direct
0.1834 0.2500 0.0691 Cu
0.1879 0.7500 0.9115 Cu
0.3120 0.7500 0.4115 Cu
0.3165 0.2500 0.5693 Cu
0.6835 0.7500 0.4307 Cu
0.6880 0.2500 0.5885 Cu
0.8121 0.2500 0.0885 Cu
0.8166 0.7500 0.9309 Cu
0.0276 0.7500 0.6112 Bi
0.4725 0.7500 0.1112 Bi
0.5275 0.2500 0.8888 Bi
0.9724 0.2500 0.3888 Bi
0.0374 0.7500 0.1971 P
0.4628 0.7500 0.6971 P
0.5372 0.2500 0.3029 P
0.9626 0.2500 0.8029 P
0.0068 0.0000 0.1253 O
0.0068 0.5000 0.1253 O
0.0803 0.2500 0.7019 O
0.1770 0.5023 0.4937 O
0.1770 0.9977 0.4937 O
0.2254 0.7500 0.2330 O
0.2747 0.7500 0.7329 O
0.3230 0.5022 0.9937 O
0.3230 0.9978 0.9937 O
0.4196 0.2500 0.2018 O
0.4932 0.0000 0.6253 O
0.4932 0.5000 0.6253 O
0.5068 0.0000 0.3747 O
0.5068 0.5000 0.3747 O
0.5804 0.7500 0.7982 O
0.6770 0.0022 0.0063 O
0.6770 0.4978 0.0063 O
0.7253 0.2500 0.2671 O
0.7746 0.2500 0.7670 O
0.8230 0.0023 0.5063 O
0.8230 0.4977 0.5063 O
0.9197 0.7500 0.2981 O
0.9932 0.0000 0.8747 O
0.9932 0.5000 0.8747 O
```